The following is a calculated powder XRD pattern of HoTmNiPt. It was derived from a crystal structure in Alexandria, relaxed with PBE, using Cu Ka.
Lines closer than 0.1° are merged.

Structure:
Lattice parameters (Å, degrees): 4.286 3.784 10.243 90.00 90.00 90.00
Space group Amm2 (No. 38)
Unique sites:
Ho  0.000  0.000  0.000 x2
Tm  0.500  0.000  0.281 x2
Ni  0.000  0.000  0.722 x2
Pt  0.500  0.000  0.564 x2

Largest 10 diffraction maxima, most intense first, 10° ≤ 2θ ≤ 90°:
two_theta  intensity  index
32.8  100  1 1 1
41.4  59  1 1 3
35.4  31  0 1 3
42.2  28  2 0 0
35.0  24  0 0 4
41.1  24  1 0 4
48.1  19  0 2 0
56.2  17  2 1 3
65.8  15  2 2 0
84.1  15  2 1 7